# ScCr4F12
Computed X-ray diffraction stick pattern, Cu Kα. Input: the GGA+U geometry in Alexandria.

Largest 12 diffraction maxima, by angle, 2θ from 15° to 90°:
- 2θ 15.7, I 508
- 2θ 16.2, I 239
- 2θ 21.5, I 1000
- 2θ 21.8, I 948
- 2θ 23.7, I 466
- 2θ 30.0, I 232
- 2θ 31.6, I 453
- 2θ 32.0, I 246
- 2θ 32.8, I 470
- 2θ 43.8, I 442
- 2θ 44.5, I 389
- 2θ 57.8, I 381

Atomic structure:
a = 6.679 Å, b = 6.923 Å, c = 7.013 Å
α = 107.09°, β = 106.90°, γ = 112.90°
Space group P-1 (No. 2)
Unique sites:
Sc 0.000 0.000 0.000 (multiplicity 1)
Cr 0.000 0.000 0.500 (multiplicity 1)
Cr 0.000 0.500 0.000 (multiplicity 1)
Cr 0.500 0.000 0.000 (multiplicity 1)
Cr 0.500 0.500 0.500 (multiplicity 1)
F 0.040 0.849 0.219 (multiplicity 2)
F 0.175 0.377 0.205 (multiplicity 2)
F 0.189 0.935 0.789 (multiplicity 2)
F 0.296 0.305 0.601 (multiplicity 2)
F 0.317 0.708 0.011 (multiplicity 2)
F 0.401 0.155 0.206 (multiplicity 2)